Diffraction record for TbNdHoN3. The XRD peak list is computed, not measured: it uses DFT lattice parameters and positions (GGA-PBE) and a wavelength of 1.5418 Å.

Crystal structure
```
TbNdHoN3
1.0
6.0536 0.0000 0.0000
0.0000 3.5177 0.0000
-1.8530 0.0000 8.9180
Tb Nd Ho N
2 2 2 6
Direct
0.2309 0.2500 0.4550
0.7691 0.7500 0.5450
0.3454 0.7500 0.8023
0.6546 0.2500 0.1977
0.1490 0.7500 0.1397
0.8510 0.2500 0.8603
0.0356 0.2500 0.6551
0.2449 0.2500 0.0088
0.4591 0.7500 0.3313
0.5409 0.2500 0.6687
0.7551 0.7500 0.9912
0.9644 0.7500 0.3449
```

Main lines, by angle (15 to 90 degrees two-theta):
d [Å], Rel. int.
3.001, 379
2.969, 601
2.778, 1000
2.634, 927
1.712, 302
1.513, 268

Diffraction record for Mg4C23. The XRD peak list is computed, not measured: it uses DFT lattice parameters and positions (GGA-PBE) and a wavelength of 1.5418 Å.

Crystal structure
```
Mg4C23
1.0
7.1344 0.0000 0.0000
0.0000 7.1344 0.0000
0.0000 0.0000 7.2982
Mg C
8 46
Direct
0.0000 0.0000 0.2500
0.0000 0.0000 0.7500
0.0000 0.5000 0.0000
0.2999 0.5000 0.5000
0.5000 0.0000 0.5000
0.5000 0.2999 0.0000
0.5000 0.7001 0.0000
0.7001 0.5000 0.5000
0.0000 0.2746 0.5000
0.0000 0.3815 0.2846
0.0000 0.3815 0.7154
0.0000 0.6185 0.2846
0.0000 0.6185 0.7154
0.0000 0.7254 0.5000
0.1921 0.2014 0.0000
0.1922 0.3171 0.1820
0.1922 0.3171 0.8180
0.1922 0.6829 0.1820
0.1922 0.6829 0.8180
0.1921 0.7986 0.0000
0.2014 0.1921 0.5000
0.2014 0.8079 0.5000
0.2746 0.0000 0.0000
0.2978 0.5000 0.1731
0.2978 0.5000 0.8269
0.3171 0.1922 0.3180
0.3171 0.1922 0.6820
0.3171 0.8078 0.3180
0.3171 0.8078 0.6820
0.3815 0.0000 0.2154
0.3815 0.0000 0.7846
0.5000 0.2978 0.3269
0.5000 0.2978 0.6731
0.5000 0.5000 0.2500
0.5000 0.5000 0.7500
0.5000 0.7022 0.3269
0.5000 0.7022 0.6731
0.6185 0.0000 0.2154
0.6185 0.0000 0.7846
0.6829 0.1922 0.3180
0.6829 0.1922 0.6820
0.6829 0.8078 0.3180
0.6829 0.8078 0.6820
0.7022 0.5000 0.1731
0.7022 0.5000 0.8269
0.7254 0.0000 0.0000
0.7986 0.1921 0.5000
0.7986 0.8079 0.5000
0.8079 0.2014 0.0000
0.8078 0.3171 0.1820
0.8078 0.3171 0.8180
0.8078 0.6829 0.1820
0.8078 0.6829 0.8180
0.8079 0.7986 0.0000
```

Main lines, by angle (15 to 90 degrees two-theta):
d [Å], Rel. int.
2.923, 376
1.979, 607
1.935, 1000
1.919, 667
1.910, 314
1.784, 325

Diffraction record for KSn2Au2. The XRD peak list is computed, not measured: it uses DFT lattice parameters and positions (GGA-PBE) and a wavelength of 1.5418 Å.

Crystal structure
```
KSn2Au2
1.0
0.0000 5.9512 6.2522
4.2351 0.0000 6.2522
4.2351 5.9512 0.0000
K Sn Au
2 4 4
Direct
0.1250 0.1250 0.1250
0.8750 0.8750 0.8750
0.2505 0.2505 0.4995
0.4995 0.4995 0.2505
0.5005 0.5005 0.7495
0.7495 0.7495 0.5005
0.1739 0.5761 0.1739
0.4239 0.8261 0.4239
0.5761 0.1739 0.5761
0.8261 0.4239 0.8261
```

Main lines, by angle (15 to 90 degrees two-theta):
d [Å], Rel. int.
4.311, 654
3.506, 1000
2.721, 749
2.317, 963
2.254, 449
1.258, 342